This entry pairs a crystal structure of Na2ZnPO5 with its computed powder diffraction line list. Radiation: Cu Ka. Structure: a PBE-relaxed structure.
No peak broadening, texture or thermal motion is included.

Most intense lines, 2θ from 15° to 90°, in order of rising 2θ:
- d 3.728, rel. 731
- d 3.636, rel. 894
- d 3.215, rel. 577
- d 3.198, rel. 585
- d 3.045, rel. 1000
- d 2.831, rel. 579
- d 2.792, rel. 810
- d 2.677, rel. 475
- d 2.602, rel. 356
- d 2.499, rel. 282
- d 2.076, rel. 296
- d 1.632, rel. 308

Crystal structure
Cell lengths 8.6511, 9.9068, 5.8479 Å; angles 90.00, 104.50, 90.00 degrees
Element x y z (fractional)
Na 0.1202 0.1693 0.3566
Na 0.1202 0.3307 0.8566
Na 0.2022 0.6420 0.8171
Na 0.2022 0.8580 0.3171
Na 0.7978 0.1420 0.6829
Na 0.7978 0.3580 0.1829
Na 0.8798 0.6693 0.1434
Na 0.8798 0.8307 0.6434
Zn 0.4854 0.1423 0.2297
Zn 0.4854 0.3577 0.7297
Zn 0.5146 0.6423 0.2703
Zn 0.5146 0.8577 0.7703
P 0.2047 0.0068 0.8602
P 0.2047 0.4932 0.3602
P 0.7953 0.5068 0.6398
P 0.7953 0.9932 0.1398
O 0.0808 0.1068 0.7185
O 0.0808 0.3932 0.2185
O 0.1365 0.6346 0.3822
O 0.1365 0.8654 0.8822
O 0.2707 0.0635 0.1197
O 0.2707 0.4365 0.6197
O 0.3437 0.5043 0.2312
O 0.3437 0.9957 0.7312
O 0.4780 0.7032 0.9467
O 0.4780 0.7968 0.4467
O 0.5220 0.2032 0.5533
O 0.5220 0.2968 0.0533
O 0.6563 0.0043 0.2688
O 0.6563 0.4957 0.7688
O 0.7293 0.5635 0.3803
O 0.7293 0.9365 0.8803
O 0.8635 0.1346 0.1178
O 0.8635 0.3654 0.6178
O 0.9192 0.6068 0.7815
O 0.9192 0.8932 0.2815



This entry pairs a crystal structure of EuO2 with its computed powder diffraction line list. Radiation: Cu Ka. Structure: a PBE-relaxed structure.
No peak broadening, texture or thermal motion is included.

Most intense lines, 2θ from 15° to 90°, in order of rising 2θ:
- d 3.112, rel. 245
- d 3.074, rel. 1000
- d 2.500, rel. 344
- d 1.949, rel. 399
- d 1.789, rel. 271
- d 1.767, rel. 170
- d 1.537, rel. 128
- d 1.532, rel. 264
- d 1.321, rel. 62
- d 1.257, rel. 167
- d 1.174, rel. 67
- d 1.168, rel. 60

Crystal structure
Cell lengths 3.5350, 3.5350, 6.2238 Å; angles 90.00, 90.00, 90.00 degrees
Element x y z (fractional)
Eu 0.2500 0.2500 0.2404
Eu 0.7500 0.7500 0.7596
O 0.2500 0.2500 0.8666
O 0.2500 0.7500 0.5000
O 0.7500 0.2500 0.5000
O 0.7500 0.7500 0.1334



This entry pairs a crystal structure of HfO2 with its computed powder diffraction line list. Radiation: Cu Ka. Structure: a PBE-relaxed structure.
No peak broadening, texture or thermal motion is included.

Most intense lines, 2θ from 15° to 90°, in order of rising 2θ:
- d 3.436, rel. 1000
- d 2.687, rel. 875
- d 2.430, rel. 278
- d 1.802, rel. 679
- d 1.718, rel. 161
- d 1.537, rel. 171
- d 1.460, rel. 162
- d 1.447, rel. 193
- d 1.343, rel. 95
- d 1.244, rel. 155
- d 1.112, rel. 127
- d 1.107, rel. 133

Crystal structure
Cell lengths 4.8594, 4.8594, 3.2245 Å; angles 90.00, 90.00, 90.00 degrees
Element x y z (fractional)
Hf 0.0000 0.0000 0.0000
Hf 0.5000 0.5000 0.5000
O 0.1947 0.1947 0.5000
O 0.3053 0.6947 0.0000
O 0.6947 0.3053 0.0000
O 0.8053 0.8053 0.5000



This entry pairs a crystal structure of Ta3Au with its computed powder diffraction line list. Radiation: Cu Ka. Structure: a PBE-relaxed structure.
No peak broadening, texture or thermal motion is included.

Most intense lines, 2θ from 15° to 90°, in order of rising 2θ:
- d 2.623, rel. 381
- d 2.346, rel. 1000
- d 2.142, rel. 860
- d 1.514, rel. 77
- d 1.455, rel. 227
- d 1.402, rel. 450
- d 1.312, rel. 171
- d 1.173, rel. 129
- d 1.145, rel. 213
- d 1.118, rel. 115

Crystal structure
Cell lengths 5.2462, 5.2462, 5.2462 Å; angles 90.00, 90.00, 90.00 degrees
Element x y z (fractional)
Ta 0.0000 0.2500 0.5000
Ta 0.0000 0.7500 0.5000
Ta 0.2500 0.5000 0.0000
Ta 0.5000 0.0000 0.2500
Ta 0.5000 0.0000 0.7500
Ta 0.7500 0.5000 0.0000
Au 0.0000 0.0000 0.0000
Au 0.5000 0.5000 0.5000